# Be3C
Theoretical X-ray powder pattern, λ = 1.5418 Å (Cu Kα). Input: a cell relaxed with GGA-PBE.

Principal peaks in the range 10° ≤ 2θ ≤ 90°, most intense first:
2θ (°)  I (rel.)  (hkl)
34.01  1000  1 0 0
59.40  791  1 0 2
60.87  511  1 1 0
23.07  224  0 0 1
71.59  80  2 0 0
41.50  58  1 0 1
83.73  29  1 0 3
65.99  19  1 1 1
47.15  9  0 0 2

Cell and atoms:
```
4
Lattice="3.044 0.000 0.000 -1.522 2.636 0.000 0.000 0.000 3.855" Properties=species:S:1:pos:R:3 pbc="T T T"
Be 0.000 0.000 0.000
Be 0.000 1.757 1.066
Be 0.000 1.757 2.790
C 0.000 0.000 1.928
```